Computed powder diffractogram
Compound: CoGeTeO
Radiation: Cu Kα
Structure: a DFT-relaxed cell (PBE+U, OQMD)

Top 12 peaks for 5° ≤ 2θ ≤ 70°, low angle first:
| 2theta | I/Imax | h k l |
| --- | --- | --- |
| 9.4 | 32 | 0 0 1 |
| 28.4 | 27 | 0 0 3 |
| 30.5 | 82 | 1 0 2 |
| 33.9 | 100 | 1 1 0 |
| 35.3 | 19 | 1 1 1 |
| 38.2 | 29 | 0 0 4 |
| 44.8 | 18 | 1 1 3 |
| 48.7 | 45 | 2 0 0 |
| 52.0 | 61 | 1 1 4 |
| 57.4 | 13 | 2 0 3 |
| 58.6 | 26 | 2 1 2 |
| 63.5 | 26 | 2 0 4 |

Structure:
```
CoGeTeO
1.0
3.739 0.000 0.000
0.000 3.739 0.000
0.000 0.000 9.418
Co Ge Te O
2 2 2 2
Cartesian
0.935 0.935 1.414
2.804 2.804 8.004
0.935 0.935 3.745
2.804 2.804 5.673
0.935 0.935 8.214
2.804 2.804 1.204
0.935 2.804 4.709
2.804 0.935 4.709
```